# Tb2Tm2PPb2
Computed powder XRD pattern, Cu Kα (λ = 1.5418 Å). Input: a structure optimized by DFT (PBE).
Neutral-atom scattering factors, no anomalous dispersion.

Main lines, low angle first (2θ = 15–90°):
d = 3.579 Å, 24.87 deg, I 26, hkl 1 1 0
d = 3.275 Å, 27.23 deg, I 64, hkl 1 1 2
d = 2.731 Å, 32.79 deg, I 20, hkl 1 0 5
d = 2.703 Å, 33.14 deg, I 26, hkl 0 0 6
d = 2.684 Å, 33.39 deg, I 100, hkl 1 1 4
d = 2.531 Å, 35.47 deg, I 71, hkl 2 0 0
d = 1.857 Å, 49.07 deg, I 13, hkl 2 1 5
d = 1.848 Å, 49.32 deg, I 34, hkl 2 0 6
d = 1.790 Å, 51.03 deg, I 25, hkl 2 2 0
d = 1.570 Å, 58.80 deg, I 15, hkl 3 1 2
d = 1.492 Å, 62.21 deg, I 17, hkl 2 2 6
d = 1.489 Å, 62.36 deg, I 34, hkl 3 1 4

Cell and atoms:
```
data_Tb2Tm2PPb2
_chemical_formula_sum 'Tb4 Tm4 P2 Pb4'
_space_group_name_H-M_alt 'I 4/m m m'
_space_group_IT_number 139
_space_group_name_Hall '-I 4 2'
_cell_length_a 5.062
_cell_length_b 5.062
_cell_length_c 16.221
_cell_angle_alpha 90.00
_cell_angle_beta 90.00
_cell_angle_gamma 90.00
loop_
_atom_site_label
_atom_site_type_symbol
_atom_site_fract_x
_atom_site_fract_y
_atom_site_fract_z
Tb1 Tb 0.000 0.000 0.168
Tm1 Tm 0.000 0.500 0.000
P1 P 0.000 0.000 0.000
Pb1 Pb 0.000 0.000 0.364
```